1.
Computed X-ray powder pattern of TmZnSn for Cu Kα X-rays, from a DFT-relaxed cell (GGA-PBE, the Materials Project).

Cell and atoms:
a b c (Å): 4.5142 4.5142 15.3221
angles (deg): 90.00 90.00 120.00
Space group P6_3/mmc (No. 194)
Asymmetric unit:
Tm 0.0000 0.0000 0.0000 [2 per cell]
Tm 0.0000 0.0000 0.2500 [2 per cell]
Zn 0.3333 0.6667 0.1593 [4 per cell]
Sn 0.3333 0.6667 0.6108 [4 per cell]

The 10 most intense peaks (15 to 90 degrees two-theta), most intense first:
2theta	intensity	h k l
32.73	100	1 0 4
39.94	62	1 1 0
52.56	26	2 0 4
68.00	25	2 1 4
28.76	16	1 0 3
63.73	15	1 1 8
47.61	12	1 0 7
72.54	11	3 0 0
22.75	10	1 0 0
86.17	7	2 2 0



2.
Computed X-ray powder pattern of SrCuOF2 for Cu Kα X-rays, from a DFT-relaxed cell (GGA-PBE, the Materials Project).

Cell and atoms:
a b c (Å): 5.7986 5.7986 7.8525
angles (deg): 90.00 90.00 90.00
Space group I4/mcm (No. 140)
Asymmetric unit:
Sr 0.0000 0.5000 0.2500 [4 per cell]
Cu 0.0000 0.0000 0.0000 [4 per cell]
O 0.0000 0.0000 0.2500 [4 per cell]
F 0.1840 0.3160 0.0000 [8 per cell]

The 10 most intense peaks (15 to 90 degrees two-theta), most intense first:
2theta	intensity	h k l
31.55	100	1 1 2
30.84	64	2 0 0
55.29	53	3 1 2
44.18	39	2 2 0
56.62	22	2 0 4
65.87	21	2 2 4
46.25	21	0 0 4
72.96	14	4 2 0
38.60	12	2 0 2
89.78	10	5 1 2



3.
Computed X-ray powder pattern of Rb2CuF4 for Cu Kα X-rays, from a DFT-relaxed cell (GGA-PBE, the Materials Project).

Cell and atoms:
a b c (Å): 4.2456 4.2456 13.6073
angles (deg): 90.00 90.00 90.00
Space group I4/mmm (No. 139)
Asymmetric unit:
Rb 0.0000 0.0000 0.1438 [4 per cell]
Cu 0.0000 0.0000 0.5000 [2 per cell]
F 0.0000 0.0000 0.3548 [4 per cell]
F 0.0000 0.5000 0.0000 [4 per cell]

The 10 most intense peaks (15 to 90 degrees two-theta), most intense first:
2theta	intensity	h k l
28.80	100	1 0 3
29.76	76	1 1 0
42.59	48	2 0 0
52.23	38	2 1 3
40.06	28	1 1 4
59.66	19	2 0 6
39.75	18	0 0 6
50.43	16	1 1 6
61.81	14	2 2 0
70.09	12	3 1 0



4.
Computed X-ray powder pattern of CeSe2 for Cu Kα X-rays, from a DFT-relaxed cell (GGA-PBE, the Materials Project).

Cell and atoms:
a b c (Å): 16.5632 16.5632 16.5632
angles (deg): 90.00 90.00 90.00
Space group I2_13 (No. 199)
Asymmetric unit:
Ce 0.1095 0.1562 0.7231 [24 per cell]
Se 0.0000 0.2500 0.4367 [12 per cell]
Se 0.0000 0.2500 0.6437 [12 per cell]
Se 0.1369 0.2507 0.8544 [24 per cell]

The 10 most intense peaks (15 to 90 degrees two-theta), most intense first:
2theta	intensity	h k l
20.06	100	3 1 2
43.00	51	7 3 2
24.03	45	4 0 2
38.43	33	5 5 0
16.93	33	3 1 0
33.35	29	5 2 3
36.80	28	6 3 1
29.54	26	5 1 2
39.22	23	6 4 0
25.22	20	3 3 2



5.
Computed X-ray powder pattern of Tl3Si for Cu Kα X-rays, from a DFT-relaxed cell (GGA-PBE, the Materials Project).

Cell and atoms:
a b c (Å): 7.6048 7.6048 7.6048
angles (deg): 90.00 90.00 90.00
Space group Fm-3m (No. 225)
Asymmetric unit:
Tl 0.0000 0.0000 0.0000 [4 per cell]
Tl 0.2500 0.2500 0.2500 [8 per cell]
Si 0.0000 0.0000 0.5000 [4 per cell]

The 10 most intense peaks (15 to 90 degrees two-theta), most intense first:
2theta	intensity	h k l
33.32	100	2 2 0
59.55	39	4 2 2
47.84	18	4 0 0
79.75	17	6 2 0
20.23	16	1 1 1
69.98	12	4 4 0
39.29	10	3 1 1
23.40	9	2 0 0
89.23	4	4 4 4
52.45	4	3 3 1



6.
Computed X-ray powder pattern of K2TiF6 for Cu Kα X-rays, from a DFT-relaxed cell (GGA-PBE, the Materials Project).

Cell and atoms:
a b c (Å): 5.8300 5.8300 4.7553
angles (deg): 90.00 90.00 120.00
Space group P-3m1 (No. 164)
Asymmetric unit:
K 0.3333 0.6667 0.1945 [2 per cell]
Ti 0.0000 0.0000 0.5000 [1 per cell]
F 0.1557 0.3114 0.7227 [6 per cell]

The 10 most intense peaks (15 to 90 degrees two-theta), most intense first:
2theta	intensity	h k l
40.45	100	0 2 1
25.74	72	1 0 1
30.67	31	1 1 0
52.90	24	2 0 2
17.57	22	1 0 0
63.87	19	2 2 0
42.00	17	0 1 2
62.40	15	1 2 2
70.07	15	2 0 3
51.61	14	2 1 1



Please write out number 1 again, unchanged.
Computed X-ray powder pattern of TmZnSn for Cu Kα X-rays, from a DFT-relaxed cell (GGA-PBE, the Materials Project).

Cell and atoms:
a b c (Å): 4.5142 4.5142 15.3221
angles (deg): 90.00 90.00 120.00
Space group P6_3/mmc (No. 194)
Asymmetric unit:
Tm 0.0000 0.0000 0.0000 [2 per cell]
Tm 0.0000 0.0000 0.2500 [2 per cell]
Zn 0.3333 0.6667 0.1593 [4 per cell]
Sn 0.3333 0.6667 0.6108 [4 per cell]

The 10 most intense peaks (15 to 90 degrees two-theta), most intense first:
2theta	intensity	h k l
32.73	100	1 0 4
39.94	62	1 1 0
52.56	26	2 0 4
68.00	25	2 1 4
28.76	16	1 0 3
63.73	15	1 1 8
47.61	12	1 0 7
72.54	11	3 0 0
22.75	10	1 0 0
86.17	7	2 2 0